[1]
Simulated PXRD pattern
Compound: DyAg3Se3
Radiation: Cu Kα X-rays
Structure: the GGA-PBE geometry in Alexandria
Intensities are scaled so that the largest is 100.

Cell and atoms:
```
DyAg3Se3
1.0
3.7509 2.1656 6.9311
-3.7509 2.1656 6.9311
0.0000 -4.3312 6.9311
Dy Ag Se
2 6 6
direct
0.1668 0.1668 0.1668 Dy
0.8332 0.8332 0.8332 Dy
0.0267 0.3780 0.7149 Ag
0.2851 0.9733 0.6220 Ag
0.3780 0.7149 0.0267 Ag
0.6220 0.2851 0.9733 Ag
0.7149 0.0267 0.3780 Ag
0.9733 0.6220 0.2851 Ag
0.0921 0.7632 0.4285 Se
0.2368 0.5715 0.9079 Se
0.4285 0.0921 0.7632 Se
0.5715 0.9079 0.2368 Se
0.7632 0.4285 0.0921 Se
0.9079 0.2368 0.5715 Se
```

Largest 10 diffraction maxima, low angle first, 10° ≤ 2θ ≤ 90°:
14.3°, I = 16; 27.0°, I = 64; 35.3°, I = 100; 41.7°, I = 80; 46.1°, I = 38; 55.7°, I = 25; 63.9°, I = 14; 72.0°, I = 23; 79.3°, I = 14; 82.6°, I = 16

***

[2]
Simulated PXRD pattern
Compound: Ba4CdPd
Radiation: Cu Kα X-rays
Structure: the GGA-PBE geometry in Alexandria
Intensities are scaled so that the largest is 100.

Cell and atoms:
```
Ba4CdPd
1.0
9.0190 -3.9653 0.0000
9.0190 3.9653 0.0000
-2.6829 0.0000 7.9730
Ba Cd Pd
8 2 2
direct
0.0280 0.1731 0.4839 Ba
0.1731 0.0280 0.9839 Ba
0.2738 0.3946 0.8565 Ba
0.3946 0.2738 0.3565 Ba
0.6054 0.7262 0.6435 Ba
0.7262 0.6054 0.1435 Ba
0.8269 0.9720 0.0161 Ba
0.9720 0.8269 0.5161 Ba
0.3053 0.6947 0.2500 Cd
0.6947 0.3053 0.7500 Cd
0.0000 0.5000 0.5000 Pd
0.5000 0.0000 0.0000 Pd
```

Largest 10 diffraction maxima, low angle first, 10° ≤ 2θ ≤ 90°:
17.7°, I = 40; 25.2°, I = 47; 25.8°, I = 94; 27.0°, I = 100; 28.4°, I = 57; 30.8°, I = 55; 31.2°, I = 46; 34.4°, I = 39; 36.7°, I = 34; 40.7°, I = 37